# 1
Diffraction record for BaSmBr. The XRD peak list is theoretical, not measured: it uses DFT lattice parameters and positions (PBE) and copper Kα.
No peak broadening, texture or thermal motion is included.

Largest 12 diffraction maxima, in order of rising 2θ, 2θ from 15° to 90°:
hkl, 2θ (°), d_spacing, Rel. int.
0 0 8, 21.80, 4.077, 8
1 0 0, 25.88, 3.443, 38
0 1 2, 26.46, 3.369, 12
1 0 5, 29.33, 3.045, 9
1 0 6, 30.74, 2.909, 100
0 1 7, 32.33, 2.769, 24
0 0 13, 35.79, 2.509, 7
1 0 13, 44.69, 2.028, 11
1 1 0, 45.64, 1.988, 33
0 2 6, 56.03, 1.641, 18
1 1 13, 59.31, 1.558, 10
2 1 6, 75.06, 1.266, 17

Structure:
a = 3.9759 Å, b = 3.9759 Å, c = 32.6199 Å
α = 90.00°, β = 90.00°, γ = 120.00°
Space group P-3m1 (No. 164)
Asymmetric unit:
Ba (0.3333, 0.6667, 0.2833) x2
Ba (0.3333, 0.6667, 0.4391) x2
Sm (0.3333, 0.6667, 0.8183) x2
Sm (0.3333, 0.6667, 0.9574) x2
Br (0.3333, 0.6667, 0.1134) x2
Br (0.3333, 0.6667, 0.6377) x2

---

# 2
Diffraction record for Ba2SmBr6. The XRD peak list is theoretical, not measured: it uses DFT lattice parameters and positions (PBE) and copper Kα.
No peak broadening, texture or thermal motion is included.

Largest 12 diffraction maxima, in order of rising 2θ, 2θ from 15° to 90°:
hkl, 2θ (°), d_spacing, Rel. int.
1 1 0, 16.49, 5.376, 100
1 0 3, 23.12, 3.846, 39
1 1 3, 25.96, 3.432, 68
2 1 0, 26.21, 3.400, 17
2 1 3, 33.13, 2.704, 94
2 2 0, 33.34, 2.688, 56
0 0 6, 40.46, 2.230, 17
3 0 3, 40.96, 2.203, 53
3 1 3, 42.73, 2.116, 19
2 2 6, 53.39, 1.716, 23
4 3 3, 64.78, 1.439, 16
5 2 3, 69.89, 1.346, 25

Structure:
a = 7.6021 Å, b = 7.6021 Å, c = 13.3779 Å
α = 90.00°, β = 90.00°, γ = 90.00°
Space group P4_2/mnm (No. 136)
Asymmetric unit:
Ba (0.0000, 0.0000, 0.1767) x4
Sm (0.0000, 0.0000, 0.5000) x2
Br (0.2034, 0.2034, 0.3529) x8
Br (0.2236, 0.2236, 0.0000) x4

---

# 3
Diffraction record for Ba2SnBr. The XRD peak list is theoretical, not measured: it uses DFT lattice parameters and positions (PBE) and copper Kα.
No peak broadening, texture or thermal motion is included.

Largest 12 diffraction maxima, in order of rising 2θ, 2θ from 15° to 90°:
hkl, 2θ (°), d_spacing, Rel. int.
0 2 0, 25.45, 3.500, 100
2 0 -2, 25.69, 3.467, 50
0 0 4, 26.65, 3.345, 76
2 0 0, 26.81, 3.325, 31
2 0 -4, 31.06, 2.880, 21
2 0 2, 33.82, 2.650, 30
2 2 -2, 36.48, 2.463, 40
0 2 4, 37.18, 2.418, 63
2 2 0, 37.30, 2.411, 26
2 2 -4, 40.59, 2.223, 29
2 2 2, 42.80, 2.113, 31
0 4 4, 59.65, 1.550, 25

Structure:
a = 7.0436 Å, b = 6.9993 Å, c = 14.1713 Å
α = 90.00°, β = 109.22°, γ = 90.00°
Space group P2/c (No. 13)
Asymmetric unit:
Ba (0.0520, 0.2505, 0.1184) x4
Ba (0.4067, 0.2497, 0.8849) x4
Sn (0.4395, 0.2505, 0.3460) x4
Br (0.0895, 0.2495, 0.6287) x4